# AgSnGeTe3
Theoretical X-ray diffraction stick pattern, Cu Kα (λ = 1.5418 Å). Input: the GGA-PBE geometry in Alexandria.
Peak positions follow from Bragg's law for the DFT cell and can differ from measured ones.

Structure:
a b c (Å): 8.941 4.020 10.039
angles (deg): 90.00 102.06 90.00
Sites, in units of the cell vectors:
Ag (0.073, 0.250, 0.095)
Ag (0.927, 0.750, 0.905)
Sn (0.200, 0.250, 0.758)
Sn (0.800, 0.750, 0.242)
Ge (0.333, 0.750, 0.399)
Ge (0.667, 0.250, 0.601)
Te (0.110, 0.250, 0.379)
Te (0.261, 0.750, 0.998)
Te (0.443, 0.750, 0.677)
Te (0.557, 0.250, 0.323)
Te (0.739, 0.250, 0.002)
Te (0.890, 0.750, 0.621)

Peak list (10 most intense, 2θ from 10° to 90°, by intensity)
two_theta  I/Imax
30.23  100
35.19  39
45.37  27
45.11  25
29.17  24
40.36  23
31.12  22
27.25  20
23.94  17
37.65  13